Diffraction record for Sr2LiO12. The X-ray diffraction stick pattern is simulated, not measured: it uses a PBE-relaxed structure and λ = 1.5418 Å (Cu Kα).
Neutral-atom scattering factors, no anomalous dispersion.

Structure:
Unit cell a=4.364 b=6.001 c=9.067 alpha=93.90 beta=98.35 gamma=95.50
Element x y z (fractional)
Sr  0.000  0.000  0.000
Sr  0.097  0.553  0.389
Li  0.444  0.148  0.593
O  0.082  0.119  0.289
O  0.137  0.992  0.402
O  0.264  0.136  0.782
O  0.485  0.121  0.899
O  0.535  0.824  0.131
O  0.539  0.813  0.614
O  0.562  0.692  0.241
O  0.608  0.391  0.471
O  0.729  0.765  0.726
O  0.837  0.342  0.581
O  0.972  0.561  0.988
O  0.998  0.431  0.097

Peak list (10 most intense, 15° ≤ 2θ ≤ 90°, in order of falling intensity)
2θ/deg  I/Imax
18.6  100
34.8  74
17.2  62
30.8  52
20.7  51
37.7  51
31.0  49
30.0  45
33.9  42
21.6  40

Diffraction record for SrPt2F8. The X-ray diffraction stick pattern is simulated, not measured: it uses a PBE-relaxed structure and λ = 1.5418 Å (Cu Kα).
Neutral-atom scattering factors, no anomalous dispersion.

Structure:
Unit cell a=6.378 b=6.378 c=4.675 alpha=92.48 beta=92.48 gamma=73.59
Element x y z (fractional)
Sr  0.000  0.000  0.000
Pt  0.388  0.388  0.742
Pt  0.612  0.612  0.258
F  0.130  0.650  0.742
F  0.196  0.196  0.730
F  0.350  0.870  0.258
F  0.410  0.410  0.247
F  0.590  0.590  0.753
F  0.650  0.130  0.742
F  0.804  0.804  0.270
F  0.870  0.350  0.258

Peak list (10 most intense, 15° ≤ 2θ ≤ 90°, in order of falling intensity)
2θ/deg  I/Imax
24.4  100
23.3  95
25.2  83
46.1  37
40.9  37
35.5  35
34.5  34
28.7  32
26.6  29
41.6  26

> Which formula does entry 1 have?

Sr2LiO12